# 1
LiCu2F7: simulated PXRD pattern (copper Kα), based on a PBE-relaxed structure.
No peak broadening, texture or thermal motion is included.

Cell and atoms:
```
LiCu2F7
1.0
5.286 0.000 0.000
2.620 6.054 0.000
0.022 0.783 7.172
Li Cu F
2 4 14
Direct
0.000 0.000 0.000 Li
0.018 0.011 0.491 Li
0.349 0.298 0.036 Cu
0.374 0.294 0.536 Cu
0.649 0.700 0.965 Cu
0.669 0.701 0.466 Cu
0.038 0.584 0.050 F
0.130 0.156 0.140 F
0.237 0.299 0.784 F
0.292 0.840 0.866 F
0.376 0.002 0.502 F
0.414 0.581 0.549 F
0.489 0.298 0.284 F
0.540 0.699 0.219 F
0.624 0.413 0.951 F
0.651 0.001 0.002 F
0.731 0.159 0.635 F
0.786 0.700 0.717 F
0.889 0.836 0.369 F
0.997 0.415 0.454 F
```

Principal peaks in the range 2θ = 5–70°, sorted by position:
2θ 18.33, intensity 100.0, (1 1 0); 2θ 24.83, intensity 57.1, (0 0 2); 2θ 27.86, intensity 41.5, (1 -1 0); 2θ 27.97, intensity 40.9, (1 2 0); 2θ 29.69, intensity 25.6, (0 2 0); 2θ 62.04, intensity 21.9, (3 0 -2)


# 2
Li2CuF4: simulated PXRD pattern (copper Kα), based on a PBE-relaxed structure.
No peak broadening, texture or thermal motion is included.

Cell and atoms:
```
Li2CuF4
1.0
3.178 0.000 0.000
0.000 9.182 0.000
-1.419 0.000 5.090
Li Cu F
4 2 8
Direct
0.103 0.168 0.434 Li
0.103 0.332 0.934 Li
0.897 0.668 0.066 Li
0.897 0.832 0.566 Li
0.500 0.000 0.000 Cu
0.500 0.500 0.500 Cu
0.000 0.062 0.732 F
0.000 0.438 0.232 F
0.000 0.562 0.768 F
0.000 0.938 0.268 F
0.490 0.182 0.191 F
0.490 0.318 0.691 F
0.510 0.682 0.309 F
0.510 0.818 0.809 F
```

Principal peaks in the range 2θ = 5–70°, sorted by position:
2θ 19.33, intensity 52.9, (0 2 0); 2θ 19.95, intensity 100.0, (0 1 1); 2θ 31.33, intensity 48.4, (1 1 -1); 2θ 34.19, intensity 23.2, (0 3 1); 2θ 39.47, intensity 39.1, (1 1 1); 2θ 44.34, intensity 36.1, (1 2 -2)